Diffraction record for Ca2Rh3Pb5. The XRD peak list is computed, not measured: it uses DFT lattice parameters and positions (GGA-PBE) and a wavelength of 1.5418 Å.
Kinematic intensities with the Lorentz-polarization factor, no thermal factor.

Largest 10 diffraction maxima, low angle first, 2θ from 10° to 80°:
2θ = 17.45°, I = 33
2θ = 21.67°, I = 25
2θ = 31.02°, I = 33
2θ = 32.21°, I = 61
2θ = 32.37°, I = 100
2θ = 35.15°, I = 24
2θ = 39.35°, I = 59
2θ = 40.92°, I = 24
2θ = 42.87°, I = 49
2θ = 60.64°, I = 22

Crystal structure
```
Ca2Rh3Pb5
1.0
2.2897 -13.8394 0.0000
2.2897 13.8394 0.0000
0.0000 0.0000 7.4876
Ca Rh Pb
4 6 10
Direct
0.0239 0.9761 0.5000 Ca
0.3278 0.6722 0.5377 Ca
0.6722 0.3278 0.0377 Ca
0.9761 0.0239 0.0000 Ca
0.1052 0.8948 0.2473 Rh
0.2767 0.7233 0.0391 Rh
0.4521 0.5479 0.2864 Rh
0.5479 0.4521 0.7864 Rh
0.7233 0.2767 0.5391 Rh
0.8948 0.1052 0.7473 Rh
0.0959 0.9041 0.8742 Pb
0.2043 0.7957 0.3202 Pb
0.2088 0.7912 0.7519 Pb
0.3781 0.6219 0.0096 Pb
0.4524 0.5476 0.6694 Pb
0.5476 0.4524 0.1694 Pb
0.6219 0.3781 0.5096 Pb
0.7912 0.2088 0.2519 Pb
0.7957 0.2043 0.8202 Pb
0.9041 0.0959 0.3742 Pb
```